Calculated powder diffraction line list of Sr8PdPtAu2 for a wavelength of 1.5418 Å, from a cell relaxed with PBE.

Structure:
```
Sr8PdPtAu2
1.0
7.2067 0.0000 0.0000
0.0000 9.0353 0.0000
-0.0024 0.0000 7.4284
Sr Pd Pt Au
8 1 1 2
direct
0.2287 0.2473 0.1650 Sr
0.2287 0.7527 0.1650 Sr
0.2550 0.0000 0.6775 Sr
0.2570 0.5000 0.6744 Sr
0.7430 0.5000 0.3256 Sr
0.7450 0.0000 0.3225 Sr
0.7713 0.2473 0.8350 Sr
0.7713 0.7527 0.8350 Sr
0.0000 0.5000 0.0000 Pd
0.0000 0.0000 0.0000 Pt
0.5000 0.2492 0.5000 Au
0.5000 0.7508 0.5000 Au
```

Top 6 peaks for 10 to 80 degrees two-theta, in order of falling intensity:
| 2θ/deg | Rel. int. |
| --- | --- |
| 17.1 | 100 |
| 34.0 | 76 |
| 26.2 | 56 |
| 41.6 | 40 |
| 34.7 | 39 |
| 33.6 | 39 |

=====

Calculated powder diffraction line list of Th2PdPtAu for a wavelength of 1.5418 Å, from a cell relaxed with PBE.

Structure:
```
Th2PdPtAu
1.0
7.2605 0.0000 0.0000
0.0000 4.5582 0.0000
-2.1126 0.0000 7.0553
Th Pd Pt Au
4 2 2 2
direct
0.0444 0.2500 0.1913 Th
0.3598 0.7500 0.6532 Th
0.6402 0.2500 0.3468 Th
0.9556 0.7500 0.8087 Th
0.3379 0.2500 0.9681 Pd
0.6621 0.7500 0.0319 Pd
0.0772 0.2500 0.6077 Pt
0.9228 0.7500 0.3923 Pt
0.3393 0.7500 0.2145 Au
0.6607 0.2500 0.7855 Au
```

Top 6 peaks for 10 to 80 degrees two-theta, in order of falling intensity:
| 2θ/deg | Rel. int. |
| --- | --- |
| 37.4 | 100 |
| 36.4 | 88 |
| 32.4 | 80 |
| 39.5 | 63 |
| 32.0 | 46 |
| 38.8 | 33 |

=====

Calculated powder diffraction line list of UPdPt2Au for a wavelength of 1.5418 Å, from a cell relaxed with PBE.

Structure:
```
UPdPt2Au
1.0
2.1576 -5.3435 0.0000
2.1576 5.3435 0.0000
0.0000 0.0000 8.3373
U Pd Pt Au
2 2 4 2
direct
0.0383 0.9617 0.7500 U
0.9617 0.0383 0.2500 U
0.5000 0.5000 0.0000 Pd
0.5000 0.5000 0.5000 Pd
0.1748 0.8252 0.0312 Pt
0.1748 0.8252 0.4688 Pt
0.8252 0.1748 0.5312 Pt
0.8252 0.1748 0.9688 Pt
0.3312 0.6688 0.7500 Au
0.6688 0.3312 0.2500 Au
```

Top 6 peaks for 10 to 80 degrees two-theta, in order of falling intensity:
| 2θ/deg | Rel. int. |
| --- | --- |
| 39.3 | 100 |
| 41.9 | 26 |
| 39.5 | 25 |
| 35.3 | 18 |
| 43.4 | 18 |
| 74.7 | 16 |

=====

Calculated powder diffraction line list of Pu6Pd6Au for a wavelength of 1.5418 Å, from a cell relaxed with PBE.

Structure:
```
Pu6Pd6Au
1.0
-2.8589 4.9550 5.1225
2.8589 -4.9550 5.1225
2.8589 4.9550 -5.1225
Pu Pd Au
6 6 1
direct
0.1797 0.5000 0.6797 Pu
0.2021 0.2021 0.0000 Pu
0.3439 0.0000 0.3439 Pu
0.6561 0.0000 0.6561 Pu
0.7979 0.7979 0.0000 Pu
0.8203 0.5000 0.3203 Pu
0.0000 0.0000 0.5000 Pd
0.0000 0.5000 0.0000 Pd
0.2387 0.7387 0.5000 Pd
0.5000 0.0000 0.0000 Pd
0.5000 0.5000 0.5000 Pd
0.7613 0.2613 0.5000 Pd
0.5000 0.5000 0.0000 Au
```

Top 6 peaks for 10 to 80 degrees two-theta, in order of falling intensity:
| 2θ/deg | Rel. int. |
| --- | --- |
| 31.3 | 100 |
| 40.5 | 90 |
| 36.0 | 67 |
| 35.0 | 50 |
| 47.7 | 40 |
| 25.0 | 35 |

=====

Calculated powder diffraction line list of Pu6PdAu5 for a wavelength of 1.5418 Å, from a cell relaxed with PBE.

Structure:
```
Pu6PdAu5
1.0
-2.3678 4.1266 7.1132
2.3678 -4.1266 7.1132
2.3678 4.1266 -7.1132
Pu Pd Au
6 1 5
direct
0.0811 0.3351 0.7459 Pu
0.2419 0.0000 0.2419 Pu
0.4108 0.6649 0.7459 Pu
0.5892 0.3351 0.2541 Pu
0.7581 0.0000 0.7581 Pu
0.9189 0.6649 0.2541 Pu
0.0000 0.5000 0.5000 Pd
0.1681 0.1681 0.0000 Au
0.3352 0.8352 0.5000 Au
0.5000 0.5000 0.0000 Au
0.6648 0.1648 0.5000 Au
0.8319 0.8319 0.0000 Au
```

Top 6 peaks for 10 to 80 degrees two-theta, in order of falling intensity:
| 2θ/deg | Rel. int. |
| --- | --- |
| 34.5 | 100 |
| 38.0 | 39 |
| 66.4 | 31 |
| 59.4 | 21 |
| 54.8 | 14 |
| 43.9 | 13 |

=====

Calculated powder diffraction line list of PuPd3Au6 for a wavelength of 1.5418 Å, from a cell relaxed with PBE.

Structure:
```
PuPd3Au6
1.0
6.8866 0.0000 0.0000
0.0000 7.0621 0.0000
-4.8404 0.0000 7.8572
Pu Pd Au
2 6 12
direct
0.0000 0.0000 0.0000 Pu
0.0000 0.5000 0.5000 Pu
0.2424 0.1828 0.4458 Pd
0.2424 0.3172 0.9458 Pd
0.5000 0.0000 0.0000 Pd
0.5000 0.5000 0.5000 Pd
0.7576 0.6828 0.0542 Pd
0.7576 0.8172 0.5542 Pd
0.1326 0.0606 0.6761 Au
0.1326 0.4394 0.1761 Au
0.2547 0.6875 0.8447 Au
0.2547 0.8125 0.3447 Au
0.4907 0.1519 0.2864 Au
0.4907 0.3481 0.7864 Au
0.5093 0.6519 0.2136 Au
0.5093 0.8481 0.7136 Au
0.7453 0.1875 0.6553 Au
0.7453 0.3125 0.1553 Au
0.8674 0.5606 0.8239 Au
0.8674 0.9394 0.3239 Au
```

Top 6 peaks for 10 to 80 degrees two-theta, in order of falling intensity:
| 2θ/deg | Rel. int. |
| --- | --- |
| 36.6 | 100 |
| 40.0 | 87 |
| 39.3 | 76 |
| 40.1 | 59 |
| 36.8 | 53 |
| 37.1 | 52 |

=====

- What is the formula in the first record?
  Sr8PdPtAu2

=====

- Number 2 is which compound?
  Th2PdPtAu